Record 1
Computed X-ray diffraction stick pattern
Compound: Nd2Ga7Cu12
Radiation: a wavelength of 1.5418 Å
Structure: a cell relaxed with PBE

Largest 12 diffraction maxima, by angle, 2θ from 10° to 80°:
| 2theta | intensity |
| --- | --- |
| 30.8 | 21 |
| 32.3 | 11 |
| 36.2 | 100 |
| 37.5 | 27 |
| 39.1 | 16 |
| 39.4 | 14 |
| 43.8 | 47 |
| 44.6 | 39 |
| 45.2 | 26 |
| 53.1 | 11 |
| 59.7 | 13 |
| 66.8 | 12 |

Crystal structure
Lattice parameters (Å, degrees): 9.5960 9.5960 4.0603 90.00 90.00 120.00
Space group P-6 (No. 174)
Unique sites:
Nd (0.0000, 0.0000, 0.0000)
Nd (0.3333, 0.6667, 0.5000)
Ga (0.0353, 0.4781, 0.0000)
Ga (0.2625, 0.2483, 0.5000)
Ga (0.6667, 0.3333, 0.0000)
Cu (0.0201, 0.2844, 0.5000)
Cu (0.1479, 0.7752, 0.0000)
Cu (0.3732, 0.1909, 0.0000)
Cu (0.5699, 0.1489, 0.5000)

=====

Record 2
Computed X-ray diffraction stick pattern
Compound: Pr2Y6ErTm3
Radiation: a wavelength of 1.5418 Å
Structure: a cell relaxed with PBE

Largest 12 diffraction maxima, by angle, 2θ from 10° to 80°:
| 2theta | intensity |
| --- | --- |
| 15.2 | 9 |
| 29.3 | 6 |
| 30.7 | 100 |
| 35.6 | 50 |
| 38.9 | 3 |
| 46.8 | 2 |
| 51.2 | 35 |
| 60.9 | 35 |
| 60.9 | 7 |
| 63.9 | 9 |
| 64.0 | 3 |
| 75.3 | 6 |

Crystal structure
Lattice parameters (Å, degrees): 6.187 10.707 11.823 90.00 100.01 90.00
Space group C2/m (No. 12)
Unique sites:
Pr (0.000, 0.167, 0.000)
Y (0.247, 0.500, 0.746)
Y (0.249, 0.166, 0.746)
Er (0.000, 0.500, 0.000)
Tm (0.000, 0.000, 0.500)
Tm (0.000, 0.334, 0.500)

=====

Record 3
Computed X-ray diffraction stick pattern
Compound: RbBeTlTe2
Radiation: a wavelength of 1.5418 Å
Structure: a cell relaxed with PBE

Largest 12 diffraction maxima, by angle, 2θ from 10° to 80°:
| 2theta | intensity |
| --- | --- |
| 10.8 | 57 |
| 22.0 | 100 |
| 22.2 | 38 |
| 25.3 | 46 |
| 27.4 | 30 |
| 27.6 | 42 |
| 28.5 | 43 |
| 29.0 | 67 |
| 29.4 | 94 |
| 33.1 | 71 |
| 35.2 | 34 |
| 55.9 | 27 |

Crystal structure
Lattice parameters (Å, degrees): 8.159 5.301 9.434 90.00 91.59 90.00
Space group P2/c (No. 13)
Unique sites:
Rb (0.000, 0.211, 0.250)
Be (0.500, 0.500, 0.000)
Tl (0.500, 0.101, 0.250)
Te (0.269, 0.306, 0.929)

=====

Record 4
Computed X-ray diffraction stick pattern
Compound: Pr4S3N
Radiation: a wavelength of 1.5418 Å
Structure: a cell relaxed with PBE

Largest 12 diffraction maxima, by angle, 2θ from 10° to 80°:
| 2theta | intensity |
| --- | --- |
| 26.9 | 41 |
| 27.5 | 43 |
| 31.5 | 100 |
| 44.5 | 11 |
| 45.2 | 44 |
| 45.9 | 12 |
| 53.1 | 10 |
| 54.0 | 13 |
| 55.5 | 10 |
| 56.7 | 12 |
| 65.8 | 9 |
| 74.8 | 15 |

Crystal structure
Lattice parameters (Å, degrees): 8.150 11.362 3.953 90.00 90.00 90.00
Space group Cmmm (No. 65)
Unique sites:
Pr (0.000, 0.231, 0.000)
Pr (0.219, 0.000, 0.500)
S (0.000, 0.500, 0.000)
S (0.250, 0.250, 0.500)
N (0.000, 0.000, 0.000)

=====

Record 5
Computed X-ray diffraction stick pattern
Compound: Ca4TlGa3
Radiation: a wavelength of 1.5418 Å
Structure: a cell relaxed with PBE

Largest 12 diffraction maxima, by angle, 2θ from 10° to 80°:
| 2theta | intensity |
| --- | --- |
| 15.2 | 53 |
| 23.2 | 58 |
| 24.6 | 23 |
| 30.4 | 92 |
| 31.9 | 25 |
| 36.4 | 58 |
| 37.5 | 100 |
| 39.1 | 34 |
| 44.8 | 34 |
| 46.0 | 20 |
| 59.0 | 28 |
| 60.9 | 28 |

Crystal structure
Lattice parameters (Å, degrees): 4.050 4.608 11.689 90.00 90.00 90.00
Space group Pmm2 (No. 25)
Unique sites:
Ca (0.000, 0.000, 0.000)
Ca (0.000, 0.500, 0.282)
Ca (0.500, 0.000, 0.485)
Ca (0.500, 0.500, 0.791)
Tl (0.000, 0.000, 0.713)
Ga (0.000, 0.500, 0.559)
Ga (0.500, 0.000, 0.208)
Ga (0.500, 0.500, 0.071)

=====

Record 6
Computed X-ray diffraction stick pattern
Compound: Mg2Cd8Hg
Radiation: a wavelength of 1.5418 Å
Structure: a cell relaxed with PBE

Largest 12 diffraction maxima, by angle, 2θ from 10° to 80°:
| 2theta | intensity |
| --- | --- |
| 20.6 | 23 |
| 24.3 | 19 |
| 35.5 | 100 |
| 39.1 | 39 |
| 44.6 | 6 |
| 45.1 | 11 |
| 46.6 | 7 |
| 56.5 | 13 |
| 61.2 | 18 |
| 68.5 | 28 |
| 75.1 | 10 |
| 77.0 | 7 |

Crystal structure
Lattice parameters (Å, degrees): 4.606 4.606 12.051 90.00 90.00 90.00
Space group P4/mmm (No. 123)
Unique sites:
Mg (0.000, 0.000, 0.173)
Cd (0.000, 0.500, 0.000)
Cd (0.000, 0.500, 0.348)
Cd (0.500, 0.500, 0.175)
Hg (0.000, 0.000, 0.500)

=====

Record 7
Computed X-ray diffraction stick pattern
Compound: In4Hg6Pb3
Radiation: a wavelength of 1.5418 Å
Structure: a cell relaxed with PBE

Largest 12 diffraction maxima, by angle, 2θ from 10° to 80°:
| 2theta | intensity |
| --- | --- |
| 31.3 | 100 |
| 31.7 | 89 |
| 33.1 | 73 |
| 33.4 | 81 |
| 34.1 | 72 |
| 38.3 | 55 |
| 41.8 | 46 |
| 48.4 | 27 |
| 53.6 | 20 |
| 54.5 | 16 |
| 56.2 | 17 |
| 63.7 | 24 |

Crystal structure
Lattice parameters (Å, degrees): 3.437 8.741 12.016 86.25 88.83 89.54
Space group P-1 (No. 2)
Unique sites:
In (0.188, 0.477, 0.316)
In (0.190, 0.915, 0.612)
Hg (0.310, 0.865, 0.242)
Hg (0.321, 0.300, 0.541)
Hg (0.415, 0.757, 0.838)
Pb (0.000, 0.000, 0.000)
Pb (0.254, 0.377, 0.919)

=====

Record 8
Computed X-ray diffraction stick pattern
Compound: Tm2Mg3Pb3
Radiation: a wavelength of 1.5418 Å
Structure: a cell relaxed with PBE

Largest 12 diffraction maxima, by angle, 2θ from 10° to 80°:
| 2theta | intensity |
| --- | --- |
| 18.3 | 21 |
| 27.4 | 16 |
| 33.2 | 100 |
| 37.2 | 19 |
| 38.5 | 18 |
| 39.9 | 15 |
| 54.6 | 12 |
| 55.7 | 12 |
| 64.5 | 15 |
| 66.3 | 14 |
| 68.2 | 13 |
| 69.7 | 12 |

Crystal structure
Lattice parameters (Å, degrees): 4.679 4.836 9.037 90.00 90.00 90.00
Space group Pmmm (No. 47)
Unique sites:
Tm (0.000, 0.000, 0.248)
Mg (0.000, 0.500, 0.500)
Mg (0.500, 0.500, 0.259)
Pb (0.000, 0.500, 0.000)
Pb (0.500, 0.000, 0.000)
Pb (0.500, 0.000, 0.500)